# Dy2YTm2Lu2Fe2Te2
Computed X-ray diffraction stick pattern, copper Kα. Input: a PBE-relaxed structure.

a = 9.266 Å, b = 9.266 Å, c = 9.266 Å
α = 155.90°, β = 65.20°, γ = 120.44°
Fractional positions:
Dy  0.151  0.000  0.151
Dy  0.849  0.000  0.849
Y  0.240  0.740  0.500
Tm  0.180  0.365  0.814
Tm  0.551  0.365  0.186
Lu  0.519  0.155  0.363
Lu  0.792  0.155  0.637
Fe  0.412  0.673  0.739
Fe  0.934  0.673  0.261
Te  0.508  0.508  0.000
Te  0.900  0.400  0.500

Largest 12 diffraction maxima, by intensity, 2θ = 10–90°:
two_theta	Rel. int.
34.1	100
33.9	84
34.9	79
30.7	47
59.2	34
47.0	33
34.5	29
25.0	27
62.8	23
39.2	22
28.8	18
37.4	18